No. 1
Theoretical powder X-ray diffraction pattern
Compound: MgAg14Pb6O18
Radiation: copper Kα
Structure: a PBE-relaxed structure
Intensities are scaled so that the largest is 100.

Largest 10 diffraction maxima, sorted by position, 5° ≤ 2θ ≤ 70°:
| 2theta | intensity |
| --- | --- |
| 29.3 | 53 |
| 32.4 | 100 |
| 32.4 | 74 |
| 33.9 | 21 |
| 36.6 | 24 |
| 36.7 | 45 |
| 51.8 | 18 |
| 51.9 | 17 |
| 53.8 | 21 |
| 54.0 | 39 |

Structure:
Cell lengths 8.896, 8.897, 8.934 Å; angles 72.81, 72.81, 72.78 degrees
Sites, in units of the cell vectors:
Mg (0.000, 0.000, 0.000)
Ag (0.002, 0.504, 0.497)
Ag (0.090, 0.091, 0.591)
Ag (0.170, 0.668, 0.165)
Ag (0.249, 0.251, 0.738)
Ag (0.336, 0.337, 0.330)
Ag (0.338, 0.837, 0.828)
Ag (0.424, 0.426, 0.917)
Ag (0.502, 0.004, 0.497)
Ag (0.580, 0.582, 0.075)
Ag (0.667, 0.171, 0.165)
Ag (0.669, 0.671, 0.663)
Ag (0.756, 0.757, 0.255)
Ag (0.836, 0.339, 0.828)
Ag (0.915, 0.917, 0.402)
Pb (0.002, 0.336, 0.163)
Pb (0.003, 0.671, 0.830)
Pb (0.335, 0.004, 0.163)
Pb (0.335, 0.671, 0.496)
Pb (0.670, 0.004, 0.830)
Pb (0.670, 0.337, 0.496)
O (0.022, 0.395, 0.890)
O (0.059, 0.060, 0.164)
O (0.063, 0.691, 0.557)
O (0.275, 0.276, 0.145)
O (0.275, 0.653, 0.768)
O (0.315, 0.943, 0.436)
O (0.353, 0.730, 0.225)
O (0.393, 0.023, 0.890)
O (0.398, 0.399, 0.514)
O (0.607, 0.608, 0.479)
O (0.613, 0.984, 0.102)
O (0.652, 0.276, 0.768)
O (0.690, 0.065, 0.558)
O (0.729, 0.355, 0.225)
O (0.731, 0.732, 0.848)
O (0.942, 0.317, 0.436)
O (0.945, 0.947, 0.829)
O (0.983, 0.614, 0.101)

No. 2
Theoretical powder X-ray diffraction pattern
Compound: MgAg14Pb6O18
Radiation: copper Kα
Structure: a PBE-relaxed structure
Intensities are scaled so that the largest is 100.

Largest 10 diffraction maxima, sorted by position, 5° ≤ 2θ ≤ 70°:
| 2theta | intensity |
| --- | --- |
| 27.4 | 49 |
| 28.7 | 37 |
| 29.2 | 76 |
| 31.8 | 39 |
| 32.0 | 100 |
| 32.2 | 73 |
| 32.6 | 89 |
| 36.0 | 33 |
| 36.4 | 55 |
| 53.3 | 35 |

Structure:
Cell lengths 8.841, 8.991, 9.035 Å; angles 72.88, 73.87, 72.44 degrees
Sites, in units of the cell vectors:
Mg (0.000, 0.000, 0.000)
Ag (0.044, 0.553, 0.783)
Ag (0.156, 0.172, 0.369)
Ag (0.226, 0.234, 0.937)
Ag (0.231, 0.704, 0.448)
Ag (0.292, 0.300, 0.561)
Ag (0.368, 0.899, 0.126)
Ag (0.458, 0.477, 0.678)
Ag (0.559, 0.561, 0.268)
Ag (0.617, 0.641, 0.862)
Ag (0.701, 0.228, 0.450)
Ag (0.774, 0.772, 0.031)
Ag (0.827, 0.882, 0.671)
Ag (0.895, 0.368, 0.124)
Ag (0.988, 0.986, 0.321)
Pb (0.216, 0.560, 0.112)
Pb (0.249, 0.877, 0.748)
Pb (0.555, 0.223, 0.108)
Pb (0.559, 0.893, 0.435)
Pb (0.856, 0.239, 0.763)
Pb (0.887, 0.559, 0.441)
O (0.124, 0.150, 0.798)
O (0.162, 0.523, 0.387)
O (0.174, 0.832, 0.085)
O (0.233, 0.605, 0.848)
O (0.285, 0.290, 0.127)
O (0.288, 0.908, 0.481)
O (0.495, 0.495, 0.091)
O (0.519, 0.166, 0.382)
O (0.519, 0.866, 0.692)
O (0.570, 0.954, 0.171)
O (0.596, 0.270, 0.845)
O (0.613, 0.622, 0.454)
O (0.823, 0.824, 0.443)
O (0.829, 0.184, 0.065)
O (0.861, 0.497, 0.711)
O (0.897, 0.285, 0.502)
O (0.906, 0.964, 0.837)
O (0.945, 0.566, 0.176)

No. 3
Theoretical powder X-ray diffraction pattern
Compound: MgAg14Pb6O18
Radiation: copper Kα
Structure: a PBE-relaxed structure
Intensities are scaled so that the largest is 100.

Largest 10 diffraction maxima, sorted by position, 5° ≤ 2θ ≤ 70°:
| 2theta | intensity |
| --- | --- |
| 27.2 | 64 |
| 29.3 | 84 |
| 29.8 | 29 |
| 31.5 | 36 |
| 32.0 | 82 |
| 32.1 | 44 |
| 32.7 | 67 |
| 33.6 | 28 |
| 36.4 | 100 |
| 37.7 | 47 |

Structure:
Cell lengths 8.843, 8.851, 9.145 Å; angles 71.04, 71.10, 73.85 degrees
Sites, in units of the cell vectors:
Mg (0.000, 0.000, 0.000)
Ag (0.054, 0.209, 0.141)
Ag (0.122, 0.714, 0.664)
Ag (0.225, 0.315, 0.277)
Ag (0.283, 0.380, 0.831)
Ag (0.285, 0.879, 0.336)
Ag (0.388, 0.473, 0.416)
Ag (0.431, 0.055, 0.007)
Ag (0.527, 0.613, 0.583)
Ag (0.611, 0.218, 0.662)
Ag (0.620, 0.715, 0.168)
Ag (0.685, 0.776, 0.721)
Ag (0.783, 0.388, 0.337)
Ag (0.790, 0.947, 0.859)
Ag (0.945, 0.568, 0.992)
Pb (0.284, 0.044, 0.666)
Pb (0.299, 0.701, 0.000)
Pb (0.626, 0.375, 0.999)
Pb (0.628, 0.043, 0.327)
Pb (0.957, 0.372, 0.673)
Pb (0.957, 0.715, 0.334)
O (0.001, 0.091, 0.763)
O (0.012, 0.750, 0.059)
O (0.229, 0.693, 0.271)
O (0.231, 0.318, 0.643)
O (0.250, 0.988, 0.941)
O (0.307, 0.770, 0.729)
O (0.345, 0.061, 0.401)
O (0.352, 0.429, 0.016)
O (0.561, 0.029, 0.596)
O (0.572, 0.647, 0.982)
O (0.609, 0.317, 0.266)
O (0.634, 0.102, 0.062)
O (0.683, 0.391, 0.732)
O (0.683, 0.768, 0.356)
O (0.898, 0.365, 0.938)
O (0.911, 0.998, 0.237)
O (0.939, 0.653, 0.598)
O (0.971, 0.438, 0.404)

No. 4
Theoretical powder X-ray diffraction pattern
Compound: PrMgAg2O6
Radiation: copper Kα
Structure: a PBE-relaxed structure
Intensities are scaled so that the largest is 100.

Largest 10 diffraction maxima, sorted by position, 5° ≤ 2θ ≤ 70°:
| 2theta | intensity |
| --- | --- |
| 18.8 | 13 |
| 19.7 | 17 |
| 30.9 | 19 |
| 31.6 | 100 |
| 33.1 | 19 |
| 44.6 | 12 |
| 45.9 | 21 |
| 55.3 | 11 |
| 56.7 | 12 |
| 58.1 | 20 |

Structure:
Cell lengths 8.123, 5.790, 5.415 Å; angles 90.00, 90.00, 90.00 degrees
Sites, in units of the cell vectors:
Pr (0.000, 0.178, 0.000)
Pr (0.500, 0.822, 0.500)
Mg (0.000, 0.678, 0.445)
Mg (0.500, 0.322, 0.945)
Ag (0.248, 0.745, 0.980)
Ag (0.252, 0.255, 0.480)
Ag (0.748, 0.255, 0.480)
Ag (0.752, 0.745, 0.980)
O (0.000, 0.326, 0.591)
O (0.000, 0.799, 0.810)
O (0.167, 0.473, 0.199)
O (0.177, 0.937, 0.295)
O (0.323, 0.063, 0.795)
O (0.333, 0.527, 0.699)
O (0.500, 0.201, 0.310)
O (0.500, 0.674, 0.091)
O (0.667, 0.527, 0.699)
O (0.677, 0.063, 0.795)
O (0.823, 0.937, 0.295)
O (0.833, 0.473, 0.199)

No. 5
Theoretical powder X-ray diffraction pattern
Compound: MgAg4Ru4O12
Radiation: copper Kα
Structure: a PBE-relaxed structure
Intensities are scaled so that the largest is 100.

Largest 10 diffraction maxima, sorted by position, 5° ≤ 2θ ≤ 70°:
| 2theta | intensity |
| --- | --- |
| 14.8 | 10 |
| 17.2 | 13 |
| 29.9 | 100 |
| 30.1 | 35 |
| 34.7 | 47 |
| 45.5 | 10 |
| 49.8 | 24 |
| 50.1 | 26 |
| 59.3 | 16 |
| 59.6 | 10 |

Structure:
Cell lengths 7.284, 7.284, 7.290 Å; angles 119.62, 119.62, 60.32 degrees
Sites, in units of the cell vectors:
Mg (0.000, 0.000, 0.000)
Ag (0.256, 0.256, 0.739)
Ag (0.265, 0.265, 0.350)
Ag (0.265, 0.650, 0.734)
Ag (0.650, 0.265, 0.734)
Ru (0.241, 0.725, 0.268)
Ru (0.725, 0.241, 0.268)
Ru (0.726, 0.726, 0.752)
Ru (0.733, 0.733, 0.260)
O (0.048, 0.664, 0.327)
O (0.056, 0.056, 0.324)
O (0.056, 0.674, 0.938)
O (0.400, 0.813, 0.184)
O (0.416, 0.798, 0.578)
O (0.417, 0.417, 0.191)
O (0.664, 0.048, 0.327)
O (0.664, 0.664, 0.943)
O (0.674, 0.056, 0.938)
O (0.798, 0.416, 0.578)
O (0.809, 0.809, 0.589)
O (0.813, 0.400, 0.184)

No. 6
Theoretical powder X-ray diffraction pattern
Compound: MgAg4Ru4O12
Radiation: copper Kα
Structure: a PBE-relaxed structure
Intensities are scaled so that the largest is 100.

Largest 10 diffraction maxima, sorted by position, 5° ≤ 2θ ≤ 70°:
| 2theta | intensity |
| --- | --- |
| 14.7 | 3 |
| 29.6 | 100 |
| 34.3 | 32 |
| 37.5 | 2 |
| 45.1 | 3 |
| 49.3 | 36 |
| 49.4 | 7 |
| 58.6 | 39 |
| 61.4 | 5 |
| 61.5 | 5 |

Structure:
Cell lengths 7.388, 7.388, 7.388 Å; angles 120.07, 119.92, 90.00 degrees
Sites, in units of the cell vectors:
Mg (0.000, 0.000, 0.000)
Ag (0.126, 0.376, 0.750)
Ag (0.626, 0.376, 0.250)
Ag (0.626, 0.376, 0.750)
Ag (0.626, 0.876, 0.250)
Ru (0.135, 0.401, 0.267)
Ru (0.135, 0.867, 0.268)
Ru (0.135, 0.868, 0.733)
Ru (0.599, 0.867, 0.732)
O (0.057, 0.557, 0.112)
O (0.057, 0.557, 0.500)
O (0.057, 0.945, 0.501)
O (0.200, 0.200, 0.000)
O (0.201, 0.201, 0.400)
O (0.201, 0.801, 0.000)
O (0.445, 0.557, 0.499)
O (0.445, 0.945, 0.500)
O (0.445, 0.945, 0.888)
O (0.800, 0.800, 0.000)
O (0.801, 0.201, 0.000)
O (0.801, 0.801, 0.600)

No. 7
Theoretical powder X-ray diffraction pattern
Compound: MgAg4Ru4O12
Radiation: copper Kα
Structure: a PBE-relaxed structure
Intensities are scaled so that the largest is 100.

Largest 10 diffraction maxima, sorted by position, 5° ≤ 2θ ≤ 70°:
| 2theta | intensity |
| --- | --- |
| 15.0 | 7 |
| 17.3 | 6 |
| 30.2 | 100 |
| 35.1 | 28 |
| 38.3 | 8 |
| 43.3 | 12 |
| 46.1 | 12 |
| 50.4 | 30 |
| 50.5 | 6 |
| 59.9 | 26 |

Structure:
Cell lengths 7.237, 7.237, 7.237 Å; angles 120.08, 119.92, 90.00 degrees
Sites, in units of the cell vectors:
Mg (0.000, 0.000, 0.000)
Ag (0.155, 0.456, 0.301)
Ag (0.155, 0.854, 0.699)
Ag (0.156, 0.853, 0.303)
Ag (0.549, 0.853, 0.697)
Ru (0.131, 0.380, 0.751)
Ru (0.629, 0.380, 0.249)
Ru (0.629, 0.380, 0.750)
Ru (0.629, 0.879, 0.250)
O (0.306, 0.306, 0.603)
O (0.306, 0.703, 0.000)
O (0.307, 0.307, 0.000)
O (0.559, 0.058, 0.108)
O (0.559, 0.059, 0.500)
O (0.559, 0.451, 0.500)
O (0.703, 0.306, 0.000)
O (0.703, 0.703, 0.397)
O (0.704, 0.704, 0.000)
O (0.951, 0.058, 0.500)
O (0.951, 0.451, 0.500)
O (0.951, 0.451, 0.892)

No. 8
Theoretical powder X-ray diffraction pattern
Compound: MgAg4Ru4O12
Radiation: copper Kα
Structure: a PBE-relaxed structure
Intensities are scaled so that the largest is 100.

Largest 10 diffraction maxima, sorted by position, 5° ≤ 2θ ≤ 70°:
| 2theta | intensity |
| --- | --- |
| 15.0 | 7 |
| 17.3 | 6 |
| 30.3 | 100 |
| 35.1 | 28 |
| 38.3 | 8 |
| 43.3 | 12 |
| 46.1 | 12 |
| 50.4 | 36 |
| 60.0 | 26 |
| 62.9 | 6 |

Structure:
Cell lengths 7.237, 7.237, 7.237 Å; angles 120.04, 119.95, 90.01 degrees
Sites, in units of the cell vectors:
Mg (0.000, 0.000, 0.000)
Ag (0.155, 0.456, 0.301)
Ag (0.155, 0.853, 0.699)
Ag (0.156, 0.852, 0.303)
Ag (0.549, 0.852, 0.697)
Ru (0.130, 0.379, 0.751)
Ru (0.629, 0.379, 0.249)
Ru (0.629, 0.379, 0.750)
Ru (0.629, 0.879, 0.250)
O (0.306, 0.306, 0.000)
O (0.306, 0.306, 0.603)
O (0.306, 0.703, 0.000)
O (0.558, 0.058, 0.108)
O (0.558, 0.058, 0.500)
O (0.558, 0.451, 0.500)
O (0.702, 0.306, 0.000)
O (0.702, 0.703, 0.397)
O (0.703, 0.703, 0.000)
O (0.950, 0.058, 0.500)
O (0.950, 0.451, 0.892)
O (0.951, 0.451, 0.500)